(1)
This entry pairs a crystal structure of Dy3CuIr with its simulated powder diffraction line list. Radiation: λ = 1.5418 Å (Cu Kα). Structure: DFT lattice parameters and positions (PBE).

```
data_Dy3CuIr
_cell_length_a 5.704
_cell_length_b 5.713
_cell_length_c 8.361
_cell_angle_alpha 101.07
_cell_angle_beta 101.07
_cell_angle_gamma 114.20
_space_group_name_H-M_alt 'P -1'
_space_group_IT_number 2
_space_group_name_Hall '-P 1'
loop_
_atom_site_label
_atom_site_type_symbol
_atom_site_fract_x
_atom_site_fract_y
_atom_site_fract_z
Dy1 Dy 0.071 0.212 0.295
Dy2 Dy 0.288 0.429 0.706
Dy3 Dy 0.308 0.808 0.121
Cu1 Cu 0.303 0.802 0.495
Ir1 Ir 0.250 0.250 0.000
```

The 10 most intense peaks (5° ≤ 2θ ≤ 70°), in order of rising 2θ:
- d = 7.821 Å, 2θ 11.31, I 64.1, (0 0 1)
- d = 2.799 Å, 2θ 31.98, I 55.6, (2 -1 0)
- d = 2.790 Å, 2θ 32.08, I 61.6, (1 -2 1)
- d = 2.700 Å, 2θ 33.18, I 46.0, (0 1 2)
- d = 2.663 Å, 2θ 33.65, I 47.2, (1 0 -3)
- d = 2.484 Å, 2θ 36.16, I 50.4, (0 2 0)
- d = 2.458 Å, 2θ 36.55, I 67.3, (0 2 -2)
- d = 2.451 Å, 2θ 36.66, I 49.2, (1 1 1)
- d = 2.408 Å, 2θ 37.35, I 43.2, (1 1 -3)
- d = 2.290 Å, 2θ 39.34, I 100.0, (1 -1 3)


(2)
This entry pairs a crystal structure of LiCu2Ag with its simulated powder diffraction line list. Radiation: λ = 1.5418 Å (Cu Kα). Structure: DFT lattice parameters and positions (PBE).

```
data_LiCu2Ag
_cell_length_a 3.600
_cell_length_b 3.790
_cell_length_c 8.032
_cell_angle_alpha 90.00
_cell_angle_beta 90.00
_cell_angle_gamma 90.00
_space_group_name_H-M_alt 'I m m m'
_space_group_IT_number 71
_space_group_name_Hall '-I 2 2'
loop_
_atom_site_label
_atom_site_type_symbol
_atom_site_fract_x
_atom_site_fract_y
_atom_site_fract_z
Li1 Li 0.000 0.000 0.000
Cu1 Cu 0.000 0.500 0.252
Ag1 Ag 0.000 0.000 0.500
```

The 10 most intense peaks (5° ≤ 2θ ≤ 70°), in order of rising 2θ:
- d = 3.427 Å, 2θ 26.00, I 27.2, (0 1 1)
- d = 3.285 Å, 2θ 27.14, I 25.9, (1 0 1)
- d = 2.188 Å, 2θ 41.25, I 100.0, (1 1 2)
- d = 2.148 Å, 2θ 42.06, I 6.9, (1 0 3)
- d = 2.008 Å, 2θ 45.16, I 17.4, (0 0 4)
- d = 1.895 Å, 2θ 48.01, I 14.4, (0 2 0)
- d = 1.800 Å, 2θ 50.71, I 12.1, (2 0 0)
- d = 1.641 Å, 2θ 56.02, I 6.5, (1 2 1)
- d = 1.594 Å, 2θ 57.86, I 5.6, (2 1 1)
- d = 1.378 Å, 2θ 68.03, I 9.4, (0 2 4)


(3)
This entry pairs a crystal structure of LiPm3Al8 with its simulated powder diffraction line list. Radiation: λ = 1.5418 Å (Cu Kα). Structure: DFT lattice parameters and positions (PBE).

```
data_LiPm3Al8
_cell_length_a 5.6015
_cell_length_b 5.6015
_cell_length_c 27.4799
_cell_angle_alpha 90.00
_cell_angle_beta 90.00
_cell_angle_gamma 120.00
_space_group_name_H-M_alt 'R 3 m'
_space_group_IT_number 160
_space_group_name_Hall 'R 3 -2"'
loop_
_atom_site_label
_atom_site_type_symbol
_atom_site_fract_x
_atom_site_fract_y
_atom_site_fract_z
Li1 Li 0.0000 0.0000 0.0000
Pm1 Pm 0.0000 0.0000 0.3706
Pm2 Pm 0.0000 0.0000 0.4992
Pm3 Pm 0.0000 0.0000 0.8787
Al1 Al 0.0000 0.0000 0.1863
Al2 Al 0.0000 0.0000 0.6861
Al3 Al 0.0008 0.5004 0.4360
Al4 Al 0.1673 0.3346 0.2691
```

The 10 most intense peaks (5° ≤ 2θ ≤ 70°), in order of rising 2θ:
- d = 9.160 Å, 2θ 9.66, I 17.6, (0 0 3)
- d = 4.777 Å, 2θ 18.57, I 14.9, (1 0 1)
- d = 4.576 Å, 2θ 19.40, I 48.2, (0 1 2)
- d = 3.637 Å, 2θ 24.48, I 11.8, (0 1 5)
- d = 2.802 Å, 2θ 31.94, I 82.2, (1 1 0)
- d = 2.390 Å, 2θ 37.64, I 100.0, (2 0 2)
- d = 1.818 Å, 2θ 50.18, I 12.0, (1 2 2)
- d = 1.618 Å, 2θ 56.92, I 31.0, (3 0 0)
- d = 1.525 Å, 2θ 60.72, I 32.0, (2 1 10)
- d = 1.401 Å, 2θ 66.77, I 20.9, (2 2 0)


(4)
This entry pairs a crystal structure of Mg6CdW with its simulated powder diffraction line list. Radiation: λ = 1.5418 Å (Cu Kα). Structure: DFT lattice parameters and positions (PBE).

```
data_Mg6CdW
_cell_length_a 4.539
_cell_length_b 7.536
_cell_length_c 9.421
_cell_angle_alpha 90.00
_cell_angle_beta 90.00
_cell_angle_gamma 90.00
_space_group_name_H-M_alt 'A m m 2'
_space_group_IT_number 38
_space_group_name_Hall 'A 2 -2'
loop_
_atom_site_label
_atom_site_type_symbol
_atom_site_fract_x
_atom_site_fract_y
_atom_site_fract_z
Mg1 Mg 0.000 0.000 0.000
Mg2 Mg 0.000 0.235 0.734
Mg3 Mg 0.500 0.000 0.250
Mg4 Mg 0.500 0.243 0.973
Cd1 Cd 0.500 0.000 0.695
W1 W 0.000 0.000 0.471
```

The 10 most intense peaks (5° ≤ 2θ ≤ 70°), in order of rising 2θ:
- d = 5.885 Å, 2θ 15.06, I 84.9, (0 1 1)
- d = 3.768 Å, 2θ 23.61, I 23.5, (0 2 0)
- d = 3.594 Å, 2θ 24.77, I 35.6, (1 1 1)
- d = 3.268 Å, 2θ 27.29, I 30.9, (1 0 2)
- d = 2.469 Å, 2θ 36.39, I 100.0, (1 2 2)
- d = 2.443 Å, 2θ 36.79, I 28.6, (1 1 3)
- d = 2.355 Å, 2θ 38.21, I 19.1, (0 0 4)
- d = 2.269 Å, 2θ 39.72, I 20.6, (2 0 0)
- d = 1.633 Å, 2θ 56.33, I 20.7, (2 0 4)
- d = 1.345 Å, 2θ 69.91, I 14.2, (3 2 2)